# 1
This entry pairs a crystal structure of RbCO2 with its calculated X-ray powder pattern. Radiation: Cu Kα (λ = 1.5418 Å). Structure: a structure optimized by DFT (GGA-PBE).

Principal peaks in the range 2θ = 10–90°, in order of rising 2θ:
2theta  I/Imax
20.8  266
27.1  343
28.7  194
29.0  1000
31.2  202
32.0  468
36.6  672
38.0  417
45.3  214
55.1  234

Atomic structure:
```
data_RbCO2
_chemical_formula_sum 'Rb4 C4 O8'
_space_group_name_H-M_alt 'P 1'
_space_group_IT_number 1
_space_group_name_Hall 'P 1'
_cell_length_a 6.404
_cell_length_b 11.484
_cell_length_c 3.692
_cell_angle_alpha 90.00
_cell_angle_beta 90.00
_cell_angle_gamma 90.00
loop_
_atom_site_label
_atom_site_fract_x
_atom_site_fract_y
_atom_site_fract_z
Rb1 0.094 0.152 0.000
Rb2 0.406 0.652 0.000
Rb3 0.594 0.348 0.000
Rb4 0.906 0.848 0.000
C1 0.067 0.442 0.500
C2 0.433 0.942 0.500
C3 0.567 0.058 0.500
C4 0.933 0.558 0.500
O1 0.034 0.654 0.500
O2 0.236 0.952 0.500
O3 0.264 0.452 0.500
O4 0.466 0.154 0.500
O5 0.534 0.846 0.500
O6 0.736 0.548 0.500
O7 0.764 0.048 0.500
O8 0.966 0.346 0.500
```

# 2
This entry pairs a crystal structure of Rb2CO3 with its calculated X-ray powder pattern. Radiation: Cu Kα (λ = 1.5418 Å). Structure: a structure optimized by DFT (GGA-PBE).

Principal peaks in the range 2θ = 10–90°, in order of rising 2θ:
2theta  I/Imax
27.7  281
29.1  1000
29.3  458
29.6  505
30.3  906
35.5  217
36.6  306
42.2  395
47.6  227
53.0  221

Atomic structure:
```
data_Rb2CO3
_chemical_formula_sum 'Rb8 C4 O12'
_space_group_name_H-M_alt 'P 1'
_space_group_IT_number 1
_space_group_name_Hall 'P 1'
_cell_length_a 7.618
_cell_length_b 6.036
_cell_length_c 10.126
_cell_angle_alpha 90.00
_cell_angle_beta 90.00
_cell_angle_gamma 90.00
loop_
_atom_site_label
_atom_site_fract_x
_atom_site_fract_y
_atom_site_fract_z
Rb1 0.035 0.250 0.230
Rb2 0.192 0.250 0.580
Rb3 0.308 0.750 0.080
Rb4 0.465 0.750 0.730
Rb5 0.535 0.250 0.270
Rb6 0.692 0.250 0.920
Rb7 0.808 0.750 0.420
Rb8 0.965 0.750 0.770
C1 0.248 0.750 0.415
C2 0.252 0.250 0.915
C3 0.748 0.750 0.085
C4 0.752 0.250 0.585
O1 0.178 0.750 0.534
O2 0.218 0.062 0.856
O3 0.218 0.438 0.856
O4 0.282 0.562 0.356
O5 0.282 0.938 0.356
O6 0.322 0.250 0.034
O7 0.678 0.750 0.966
O8 0.718 0.062 0.644
O9 0.718 0.438 0.644
O10 0.782 0.562 0.144
O11 0.782 0.938 0.144
O12 0.822 0.250 0.466
```

# 3
This entry pairs a crystal structure of Rb4C2O9 with its calculated X-ray powder pattern. Radiation: Cu Kα (λ = 1.5418 Å). Structure: a structure optimized by DFT (GGA-PBE).

Principal peaks in the range 2θ = 10–90°, in order of rising 2θ:
2theta  I/Imax
24.9  463
25.9  1000
28.2  316
28.4  590
29.6  397
31.1  491
31.2  291
31.9  290
33.7  318
40.6  296

Atomic structure:
```
data_Rb4C2O9
_chemical_formula_sum 'Rb8 C4 O18'
_space_group_name_H-M_alt 'P 1'
_space_group_IT_number 1
_space_group_name_Hall 'P 1'
_cell_length_a 9.513
_cell_length_b 9.513
_cell_length_c 7.865
_cell_angle_alpha 113.95
_cell_angle_beta 113.95
_cell_angle_gamma 92.39
loop_
_atom_site_label
_atom_site_fract_x
_atom_site_fract_y
_atom_site_fract_z
Rb1 0.153 0.847 0.750
Rb2 0.190 0.810 0.250
Rb3 0.254 0.449 0.410
Rb4 0.449 0.254 0.910
Rb5 0.551 0.746 0.090
Rb6 0.746 0.551 0.590
Rb7 0.810 0.190 0.750
Rb8 0.847 0.153 0.250
C1 0.153 0.484 0.850
C2 0.484 0.153 0.350
C3 0.516 0.847 0.650
C4 0.847 0.516 0.150
O1 0.027 0.382 0.690
O2 0.046 0.070 0.043
O3 0.070 0.046 0.543
O4 0.215 0.612 0.863
O5 0.216 0.449 0.011
O6 0.382 0.027 0.190
O7 0.388 0.785 0.637
O8 0.406 0.594 0.250
O9 0.449 0.216 0.511
O10 0.551 0.784 0.489
O11 0.594 0.406 0.750
O12 0.612 0.215 0.363
O13 0.618 0.973 0.810
O14 0.784 0.551 0.989
O15 0.785 0.388 0.137
O16 0.930 0.954 0.457
O17 0.954 0.930 0.957
O18 0.973 0.618 0.310
```

# 4
This entry pairs a crystal structure of Rb4CO4 with its calculated X-ray powder pattern. Radiation: Cu Kα (λ = 1.5418 Å). Structure: a structure optimized by DFT (GGA-PBE).

Principal peaks in the range 2θ = 10–90°, in order of rising 2θ:
2theta  I/Imax
26.2  796
28.2  1000
29.4  411
29.9  368
33.4  175
34.2  227
35.0  591
39.7  209
42.4  283
46.7  173

Atomic structure:
```
data_Rb4CO4
_chemical_formula_sum 'Rb4 C1 O4'
_space_group_name_H-M_alt 'P 1'
_space_group_IT_number 1
_space_group_name_Hall 'P 1'
_cell_length_a 6.455
_cell_length_b 6.455
_cell_length_c 6.111
_cell_angle_alpha 113.11
_cell_angle_beta 113.11
_cell_angle_gamma 55.13
loop_
_atom_site_label
_atom_site_fract_x
_atom_site_fract_y
_atom_site_fract_z
Rb1 0.139 0.139 0.382
Rb2 0.253 0.450 0.039
Rb3 0.550 0.747 0.961
Rb4 0.861 0.861 0.618
C1 0.630 0.370 0.500
O1 0.412 0.425 0.568
O2 0.575 0.588 0.432
O3 0.688 0.145 0.296
O4 0.855 0.312 0.704
```

# 5
This entry pairs a crystal structure of Rb4CO4 with its calculated X-ray powder pattern. Radiation: Cu Kα (λ = 1.5418 Å). Structure: a structure optimized by DFT (GGA-PBE).

Principal peaks in the range 2θ = 10–90°, in order of rising 2θ:
2theta  I/Imax
24.5  266
25.2  201
25.9  249
29.1  541
31.0  594
31.3  1000
37.1  358
37.6  254
39.9  357
40.4  206

Atomic structure:
```
data_Rb4CO4
_chemical_formula_sum 'Rb8 C2 O8'
_space_group_name_H-M_alt 'P 1'
_space_group_IT_number 1
_space_group_name_Hall 'P 1'
_cell_length_a 7.060
_cell_length_b 5.764
_cell_length_c 8.586
_cell_angle_alpha 90.00
_cell_angle_beta 91.23
_cell_angle_gamma 90.00
loop_
_atom_site_label
_atom_site_fract_x
_atom_site_fract_y
_atom_site_fract_z
Rb1 0.010 0.000 0.338
Rb2 0.124 0.492 0.091
Rb3 0.416 0.449 0.554
Rb4 0.452 0.996 0.088
Rb5 0.548 0.496 0.912
Rb6 0.584 0.949 0.446
Rb7 0.876 0.992 0.909
Rb8 0.990 0.500 0.662
C1 0.294 0.981 0.758
C2 0.706 0.481 0.242
O1 0.223 0.971 0.600
O2 0.229 0.785 0.843
O3 0.232 0.190 0.830
O4 0.498 0.479 0.241
O5 0.502 0.979 0.759
O6 0.768 0.690 0.170
O7 0.771 0.285 0.157
O8 0.777 0.471 0.400
```

# 6
This entry pairs a crystal structure of Rb4CO4 with its calculated X-ray powder pattern. Radiation: Cu Kα (λ = 1.5418 Å). Structure: a structure optimized by DFT (GGA-PBE).

Principal peaks in the range 2θ = 10–90°, in order of rising 2θ:
2theta  I/Imax
13.4  252
26.1  1000
27.0  553
30.2  396
32.5  208
38.5  212
41.0  418
45.0  217
47.1  275
57.5  217

Atomic structure:
```
data_Rb4CO4
_chemical_formula_sum 'Rb4 C1 O4'
_space_group_name_H-M_alt 'P 1'
_space_group_IT_number 1
_space_group_name_Hall 'P 1'
_cell_length_a 6.610
_cell_length_b 6.610
_cell_length_c 4.984
_cell_angle_alpha 90.00
_cell_angle_beta 90.00
_cell_angle_gamma 90.00
loop_
_atom_site_label
_atom_site_fract_x
_atom_site_fract_y
_atom_site_fract_z
Rb1 0.196 0.290 0.332
Rb2 0.290 0.804 0.668
Rb3 0.710 0.196 0.668
Rb4 0.804 0.710 0.332
C1 0.000 0.000 0.000
O1 0.101 0.147 0.833
O2 0.147 0.899 0.167
O3 0.853 0.101 0.167
O4 0.899 0.853 0.833
```

# 7
This entry pairs a crystal structure of Rb4CO4 with its calculated X-ray powder pattern. Radiation: Cu Kα (λ = 1.5418 Å). Structure: a structure optimized by DFT (GGA-PBE).

Principal peaks in the range 2θ = 10–90°, in order of rising 2θ:
2theta  I/Imax
27.2  1000
27.7  371
30.3  119
33.3  121
34.3  204
36.3  359
40.6  140
44.6  175
48.6  280
57.2  128

Atomic structure:
```
data_Rb4CO4
_chemical_formula_sum 'Rb4 C1 O4'
_space_group_name_H-M_alt 'P 1'
_space_group_IT_number 1
_space_group_name_Hall 'P 1'
_cell_length_a 6.742
_cell_length_b 6.742
_cell_length_c 6.742
_cell_angle_alpha 131.40
_cell_angle_beta 122.87
_cell_angle_gamma 78.22
loop_
_atom_site_label
_atom_site_fract_x
_atom_site_fract_y
_atom_site_fract_z
Rb1 0.119 0.179 0.585
Rb2 0.407 0.821 0.941
Rb3 0.593 0.534 0.415
Rb4 0.881 0.466 0.059
C1 0.000 0.000 0.000
O1 0.047 0.770 0.981
O2 0.210 0.230 0.276
O3 0.790 0.066 0.019
O4 0.953 0.934 0.724
```

# 8
This entry pairs a crystal structure of Rb4CO4 with its calculated X-ray powder pattern. Radiation: Cu Kα (λ = 1.5418 Å). Structure: a structure optimized by DFT (GGA-PBE).

Principal peaks in the range 2θ = 10–90°, in order of rising 2θ:
2theta  I/Imax
26.5  337
26.7  1000
30.8  844
38.0  284
44.1  286
44.3  281
52.2  159
52.4  469
54.9  117
68.7  103

Atomic structure:
```
data_Rb4CO4
_chemical_formula_sum 'Rb4 C1 O4'
_space_group_name_H-M_alt 'P 1'
_space_group_IT_number 1
_space_group_name_Hall 'P 1'
_cell_length_a 5.800
_cell_length_b 5.800
_cell_length_c 5.800
_cell_angle_alpha 89.79
_cell_angle_beta 89.79
_cell_angle_gamma 89.79
loop_
_atom_site_label
_atom_site_fract_x
_atom_site_fract_y
_atom_site_fract_z
Rb1 0.000 0.000 0.000
Rb2 0.434 0.998 0.460
Rb3 0.460 0.434 0.998
Rb4 0.998 0.460 0.434
C1 0.725 0.725 0.725
O1 0.580 0.863 0.874
O2 0.581 0.581 0.581
O3 0.863 0.874 0.580
O4 0.874 0.580 0.863
```